This entry pairs a crystal structure of LiTlCuPb with its computed X-ray powder pattern. Radiation: Cu Kα. Structure: a structure optimized by DFT (GGA-PBE).

Principal peaks in the range 10° ≤ 2θ ≤ 90°, sorted by position:
25.59 deg, d = 3.481 Å, I 58
36.51 deg, d = 2.461 Å, I 100
45.12 deg, d = 2.010 Å, I 18
52.59 deg, d = 1.740 Å, I 18
59.37 deg, d = 1.557 Å, I 24
65.71 deg, d = 1.421 Å, I 36

Atomic structure:
Cell: 4.923 4.923 4.923 Å, 60.00 60.00 60.00°
Positions (direct):
Li 0.000 0.000 0.000
Tl 0.250 0.250 0.250
Cu 0.500 0.500 0.500
Pb 0.750 0.750 0.750